[1]
ErAgNO: calculated X-ray powder pattern (λ = 1.5418 Å (Cu Kα)), based on a PBE-relaxed structure.

Lattice parameters (Å, degrees): 4.9980 8.8518 4.8175 90.00 90.00 90.00
Atoms (fractional coordinates):
Er 0.0003 0.1391 0.0000
Er 0.9997 0.8609 0.5000
Er 0.4997 0.1391 0.5000
Er 0.5003 0.8609 0.0000
Ag 0.0008 0.3715 0.5016
Ag 0.4992 0.3715 0.0016
Ag 0.5008 0.6285 0.5016
Ag 0.9992 0.6285 0.0016
N 0.0009 0.1240 0.4999
N 0.4991 0.1240 0.9999
N 0.5009 0.8760 0.4999
N 0.9991 0.8760 0.9999
O 0.0001 0.3831 0.0022
O 0.9999 0.6169 0.5022
O 0.4999 0.3831 0.5022
O 0.5001 0.6169 0.0022

The 10 most intense peaks (10 to 90 degrees two-theta), by intensity:
| hkl | 2θ (°) | Rel. int. |
| --- | --- | --- |
| 1 2 1 | 32.80 | 100 |
| 2 0 0 | 35.94 | 31 |
| 0 0 2 | 37.33 | 28 |
| 0 4 0 | 40.77 | 20 |
| 2 0 2 | 52.79 | 20 |
| 3 2 1 | 62.62 | 16 |
| 2 4 2 | 68.77 | 16 |
| 2 4 0 | 55.46 | 16 |
| 0 4 2 | 56.47 | 15 |
| 1 2 3 | 64.48 | 15 |

[2]
NdErAg2O4: calculated X-ray powder pattern (λ = 1.5418 Å (Cu Kα)), based on a PBE-relaxed structure.

Lattice parameters (Å, degrees): 3.5612 3.5612 12.5063 90.00 90.00 120.00
Atoms (fractional coordinates):
Nd 0.0000 0.0000 0.0000
Er 0.0000 0.0000 0.5000
Ag 0.3333 0.6667 0.7443
Ag 0.6667 0.3333 0.2557
O 0.3333 0.6667 0.5790
O 0.3333 0.6667 0.9094
O 0.6667 0.3333 0.0906
O 0.6667 0.3333 0.4210

The 10 most intense peaks (10 to 90 degrees two-theta), by intensity:
| hkl | 2θ (°) | Rel. int. |
| --- | --- | --- |
| 0 1 2 | 32.37 | 100 |
| 0 1 1 | 29.84 | 39 |
| 0 0 4 | 28.55 | 35 |
| 1 1 4 | 59.78 | 31 |
| 0 1 6 | 53.03 | 30 |
| 1 1 0 | 51.31 | 29 |
| 2 0 2 | 61.98 | 15 |
| 1 0 4 | 41.11 | 15 |
| 1 2 2 | 84.56 | 13 |
| 1 1 8 | 82.03 | 11 |

[3]
Er2NiAg: calculated X-ray powder pattern (λ = 1.5418 Å (Cu Kα)), based on a PBE-relaxed structure.

Lattice parameters (Å, degrees): 4.5215 5.5192 6.9867 90.00 90.00 90.00
Atoms (fractional coordinates):
Er 0.0000 0.0980 0.0000
Er 0.0000 0.9020 0.5000
Er 0.5000 0.3695 0.3635
Er 0.5000 0.6305 0.8635
Ni 0.5000 0.1111 0.7216
Ni 0.5000 0.8889 0.2216
Ag 0.0000 0.3963 0.6504
Ag 0.0000 0.6037 0.1504

The 10 most intense peaks (10 to 90 degrees two-theta), by intensity:
| hkl | 2θ (°) | Rel. int. |
| --- | --- | --- |
| 1 1 2 | 36.35 | 100 |
| 1 0 2 | 32.39 | 91 |
| 1 2 1 | 40.41 | 81 |
| 0 2 1 | 34.96 | 73 |
| 1 1 1 | 28.54 | 71 |
| 2 0 0 | 39.88 | 60 |
| 2 2 1 | 54.06 | 42 |
| 2 1 4 | 70.16 | 35 |
| 0 1 3 | 42.11 | 35 |
| 1 3 1 | 55.50 | 27 |